Ba3Ge2Au2: computed powder X-ray diffraction pattern (Cu Kα (λ = 1.5418 Å)), based on DFT lattice parameters and positions (PBE).
Kinematic intensities with the Lorentz-polarization factor, no thermal factor.

Crystal structure
Lattice parameters (Å, degrees): 10.9236 10.9236 10.9236 155.54 154.98 35.27
Positions (direct):
Ba: 0.0000 0.0000 0.0000
Ba: 0.3197 0.8197 0.5000
Ba: 0.6803 0.1803 0.5000
Ge: 0.4419 0.4419 0.0000
Ge: 0.5581 0.5581 0.0000
Au: 0.1400 0.6400 0.5000
Au: 0.8600 0.3600 0.5000

Peak list (10 most intense, 15° ≤ 2θ ≤ 90°, most intense first)
d/Å  I/Imax
3.153  100
2.792  97
2.518  52
3.096  51
2.366  43
2.314  40
3.309  33
1.704  32
3.470  32
2.395  32